[1]
# Sc5AlCu
Theoretical PXRD pattern, λ = 1.5418 Å (Cu Kα). Input: a structure optimized by DFT (PBE).

Atomic structure:
```
data_Sc5AlCu
_chemical_formula_sum 'Sc20 Al4 Cu4'
_cell_length_a 10.187
_cell_length_b 6.118
_cell_length_c 10.369
_cell_angle_alpha 90.00
_cell_angle_beta 104.34
_cell_angle_gamma 90.00
_symmetry_space_group_name_H-M 'C 1 2/c 1'
_symmetry_Int_Tables_number 15
loop_
_symmetry_equiv_pos_as_xyz
'x,y,z'
'-x,-y,-z'
'-x,y,-z+1/2'
'x,-y,z+1/2'
'x+1/2,y+1/2,z'
'-x+1/2,-y+1/2,-z'
'-x+1/2,y+1/2,-z+1/2'
'x+1/2,-y+1/2,z+1/2'
loop_
_atom_site_label
_atom_site_type_symbol
_atom_site_fract_x
_atom_site_fract_y
_atom_site_fract_z
Sc1 Sc 0.000 0.063 0.250
Sc2 Sc 0.130 0.362 0.047
Sc3 Sc 0.229 0.163 0.651
Al1 Al 0.000 0.433 0.750
Cu1 Cu 0.000 0.000 0.000
```

Main lines, by angle (2θ from 10° to 80°):
index  2theta  intensity
1 1 0  17.05  21.2
2 0 -2  21.90  19.4
3 1 0  30.86  24.7
1 1 3  33.67  26.0
3 1 1  34.02  13.9
2 2 -1  34.49  100.0
2 0 -4  35.88  48.2
3 1 2  39.13  24.3
0 2 3  39.92  18.9
1 1 4  41.94  14.1

[2]
# ScAlCu3
Theoretical PXRD pattern, λ = 1.5418 Å (Cu Kα). Input: a structure optimized by DFT (PBE).

Atomic structure:
```
data_ScAlCu3
_chemical_formula_sum 'Sc4 Al4 Cu12'
_cell_length_a 4.950
_cell_length_b 6.780
_cell_length_c 9.043
_cell_angle_alpha 90.00
_cell_angle_beta 90.00
_cell_angle_gamma 90.00
_symmetry_space_group_name_H-M 'I m m a'
_symmetry_Int_Tables_number 74
_symmetry_space_group_name_Hall '-I 2b 2'
loop_
_atom_site_label
_atom_site_type_symbol
_atom_site_fract_x
_atom_site_fract_y
_atom_site_fract_z
Sc1 Sc 0.000 0.250 0.008
Al1 Al 0.000 0.000 0.500
Cu1 Cu 0.000 0.250 0.309
Cu2 Cu 0.250 0.065 0.750
```

Main lines, by angle (2θ from 10° to 80°):
index  2theta  intensity
0 0 2  19.63  100.0
1 0 3  34.85  22.4
0 0 4  39.88  55.7
2 1 1  40.04  71.3
0 3 1  41.17  86.0
2 0 2  41.60  53.6
1 2 3  44.17  62.7
2 2 0  45.37  53.8
2 2 2  49.88  41.1
0 3 3  50.47  28.0

[3]
# Sc3AlCu8
Theoretical PXRD pattern, λ = 1.5418 Å (Cu Kα). Input: a structure optimized by DFT (PBE).

Atomic structure:
```
data_Sc3AlCu8
_chemical_formula_sum 'Sc9 Al3 Cu24'
_cell_length_a 4.9890
_cell_length_b 4.9890
_cell_length_c 24.5246
_cell_angle_alpha 90.00
_cell_angle_beta 90.00
_cell_angle_gamma 120.00
_symmetry_space_group_name_H-M 'R 3 m'
_symmetry_Int_Tables_number 160
_symmetry_space_group_name_Hall 'R 3 -2"'
loop_
_atom_site_label
_atom_site_type_symbol
_atom_site_fract_x
_atom_site_fract_y
_atom_site_fract_z
Sc1 Sc 0.0000 0.0000 0.0000
Sc2 Sc 0.0000 0.0000 0.1248
Sc3 Sc 0.0000 0.0000 0.5078
Al1 Al 0.0000 0.0000 0.6319
Cu1 Cu 0.0000 0.0000 0.3152
Cu2 Cu 0.0000 0.0000 0.8157
Cu3 Cu 0.1672 0.3344 0.3983
Cu4 Cu 0.1677 0.3354 0.8992
```

Main lines, by angle (2θ from 10° to 80°):
index  2theta  intensity
0 0 6  21.79  44.6
1 1 0  35.96  18.1
1 0 10  42.43  100.0
2 0 2  42.49  33.7
0 0 12  44.32  19.3
0 2 4  44.46  59.9
2 0 8  51.77  19.1
2 1 10  69.08  20.8
0 2 16  76.15  16.8
2 2 0  76.35  17.3

[4]
# ScAl8Cu4
Theoretical PXRD pattern, λ = 1.5418 Å (Cu Kα). Input: a structure optimized by DFT (PBE).

Atomic structure:
```
data_ScAl8Cu4
_chemical_formula_sum 'Sc2 Al16 Cu8'
_cell_length_a 8.745
_cell_length_b 8.745
_cell_length_c 5.092
_cell_angle_alpha 90.00
_cell_angle_beta 90.00
_cell_angle_gamma 90.00
_symmetry_space_group_name_H-M 'I 4/m m m'
_symmetry_Int_Tables_number 139
_symmetry_space_group_name_Hall '-I 4 2'
loop_
_atom_site_label
_atom_site_type_symbol
_atom_site_fract_x
_atom_site_fract_y
_atom_site_fract_z
Sc1 Sc 0.000 0.000 0.000
Al1 Al 0.000 0.216 0.500
Al2 Al 0.000 0.346 0.000
Cu1 Cu 0.250 0.250 0.250
```

Main lines, by angle (2θ from 10° to 80°):
index  2theta  intensity
2 0 0  20.31  81.8
2 2 0  28.87  36.6
3 0 1  35.48  18.4
2 0 2  41.02  94.6
4 0 0  41.27  100.0
2 2 2  46.19  69.6
4 2 0  46.43  52.4
4 2 2  59.61  26.8
6 0 2  75.10  23.3
6 2 2  78.76  13.6